The following is a simulated powder diffraction line list of BiPt2Pb. It was derived from a PBE-relaxed structure, using Cu Kα (weighted mean of Kα1 and Kα2).
Peak positions follow from Bragg's law for the DFT cell and can differ from measured ones.

Crystal structure
Lattice parameters (Å, degrees): 4.380 4.380 5.611 90.00 90.00 120.00
Fractional coordinates of all 4 atoms:
1 Bi 0.000 0.000 0.000
2 Pt 0.667 0.333 0.250
3 Pt 0.667 0.333 0.750
4 Pb 0.333 0.667 0.500

Most intense lines, 10° ≤ 2θ ≤ 90°, by angle:
| 2θ/deg | I/Imax | (hkl) |
| --- | --- | --- |
| 23.5 | 18.1 | 1 0 0 |
| 28.4 | 89.6 | 1 0 1 |
| 40.0 | 100.0 | 1 0 2 |
| 41.2 | 83.8 | 1 1 0 |
| 50.8 | 18.7 | 2 0 1 |
| 58.8 | 33.0 | 2 0 2 |
| 74.3 | 33.6 | 2 1 2 |
| 81.5 | 24.5 | 1 1 4 |